For Pu8Pd5Pt, DFT lattice parameters and positions (GGA-PBE) gives the computed XRD peak list in this record (CuKα).
Kinematic intensities with the Lorentz-polarization factor, no thermal factor.

The 12 most intense peaks (2θ from 10° to 80°), in order of falling intensity:
2θ (°), d [Å], I/Imax
32.45, 2.759, 100.0
38.62, 2.332, 71.2
53.56, 1.711, 30.7
66.01, 1.415, 24.1
51.30, 1.781, 23.1
69.88, 1.346, 15.9
25.00, 3.562, 15.0
67.96, 1.379, 13.2
28.95, 3.084, 9.3
75.50, 1.259, 6.8
48.97, 1.860, 6.4
73.64, 1.286, 5.9

Structure:
a b c (Å): 7.555 7.555 7.555
angles (deg): 109.48 109.48 109.46
Positions (direct):
Pu1 0.020 0.626 0.748
Pu2 0.231 0.483 0.108
Pu3 0.374 0.122 0.394
Pu4 0.376 0.123 0.892
Pu5 0.517 0.624 0.748
Pu6 0.728 0.980 0.606
Pu7 0.877 0.769 0.252
Pu8 0.878 0.272 0.252
Pd1 0.000 0.000 0.000
Pd2 0.123 0.249 0.626
Pd3 0.503 0.877 0.126
Pd4 0.623 0.497 0.374
Pd5 0.751 0.377 0.874
Pt1 0.250 0.750 0.500